[1]
Structure and theoretical powder XRD pattern of Ba2DyW2N6 (a structure optimized by DFT (PBE); CuKα).
No peak broadening, texture or thermal motion is included.

Atomic structure:
```
Ba2DyW2N6
1.0
5.461 -3.119 0.000
5.461 3.119 0.000
-3.936 0.000 6.130
Ba Dy W N
2 1 2 6
Direct
0.211 0.211 0.184
0.789 0.789 0.816
0.000 0.000 0.500
0.457 0.457 0.784
0.543 0.543 0.216
0.209 0.699 0.230
0.256 0.256 0.629
0.301 0.791 0.770
0.699 0.209 0.230
0.744 0.744 0.371
0.791 0.301 0.770
```

Largest 8 diffraction maxima, most intense first, 2θ = 10–80°:
2θ = 28.4°, rel. 100
2θ = 29.0°, rel. 72
2θ = 28.6°, rel. 57
2θ = 25.7°, rel. 28
2θ = 40.2°, rel. 28
2θ = 50.1°, rel. 22
2θ = 50.6°, rel. 21
2θ = 54.6°, rel. 20

***

[2]
Structure and theoretical powder XRD pattern of Ba3NdDy3Se8 (a structure optimized by DFT (PBE); CuKα).
No peak broadening, texture or thermal motion is included.

Atomic structure:
```
Ba3NdDy3Se8
1.0
4.238 2.447 7.514
-4.238 2.447 7.514
0.000 -4.893 7.514
Ba Nd Dy Se
3 1 3 8
Direct
0.000 0.500 0.500
0.500 0.000 0.500
0.500 0.500 0.000
0.500 0.500 0.500
0.000 0.000 0.500
0.000 0.500 0.000
0.500 0.000 0.000
0.228 0.744 0.744
0.238 0.238 0.238
0.256 0.256 0.772
0.256 0.772 0.256
0.744 0.228 0.744
0.744 0.744 0.228
0.762 0.762 0.762
0.772 0.256 0.256
```

Largest 8 diffraction maxima, most intense first, 2θ = 10–80°:
2θ = 29.0°, rel. 100
2θ = 40.4°, rel. 37
2θ = 42.7°, rel. 36
2θ = 52.4°, rel. 19
2θ = 69.8°, rel. 16
2θ = 66.5°, rel. 14
2θ = 11.8°, rel. 14
2θ = 60.2°, rel. 11

***

[3]
Structure and theoretical powder XRD pattern of Ba2DyNpS6 (a structure optimized by DFT (PBE); CuKα).
No peak broadening, texture or thermal motion is included.

Atomic structure:
```
Ba2DyNpS6
1.0
7.207 0.000 0.000
0.000 7.445 0.000
-7.198 0.000 10.333
Ba Dy Np S
4 2 2 12
Direct
0.235 0.058 0.250
0.235 0.442 0.750
0.765 0.558 0.250
0.765 0.942 0.750
0.500 0.000 0.000
0.500 0.500 0.500
0.000 0.000 0.500
0.000 0.500 0.000
0.156 0.211 0.957
0.156 0.289 0.457
0.248 0.701 0.958
0.248 0.799 0.458
0.325 0.018 0.745
0.325 0.482 0.245
0.675 0.518 0.755
0.675 0.982 0.255
0.752 0.201 0.542
0.752 0.299 0.042
0.844 0.711 0.543
0.844 0.789 0.043
```

Largest 8 diffraction maxima, most intense first, 2θ = 10–80°:
2θ = 24.3°, rel. 100
2θ = 34.7°, rel. 52
2θ = 43.3°, rel. 29
2θ = 24.7°, rel. 24
2θ = 23.9°, rel. 23
2θ = 17.1°, rel. 19
2θ = 42.3°, rel. 17
2θ = 43.1°, rel. 14

***

[4]
Structure and theoretical powder XRD pattern of BaDy2O4 (a structure optimized by DFT (PBE); CuKα).
No peak broadening, texture or thermal motion is included.

Atomic structure:
```
BaDy2O4
1.0
1.729 -5.701 0.000
1.729 5.701 0.000
0.000 0.000 11.515
Ba Dy O
2 4 8
Direct
0.112 0.888 0.750
0.888 0.112 0.250
0.366 0.634 0.571
0.366 0.634 0.929
0.634 0.366 0.071
0.634 0.366 0.429
0.000 0.000 0.000
0.000 0.000 0.500
0.260 0.740 0.102
0.260 0.740 0.398
0.439 0.561 0.750
0.561 0.439 0.250
0.740 0.260 0.602
0.740 0.260 0.898
```

Largest 8 diffraction maxima, most intense first, 2θ = 10–80°:
2θ = 28.0°, rel. 100
2θ = 31.2°, rel. 26
2θ = 38.5°, rel. 24
2θ = 31.4°, rel. 23
2θ = 36.0°, rel. 22
2θ = 53.8°, rel. 22
2θ = 61.0°, rel. 17
2θ = 48.1°, rel. 15

***

[5]
Structure and theoretical powder XRD pattern of Ba2DyPbO5 (a structure optimized by DFT (PBE); CuKα).
No peak broadening, texture or thermal motion is included.

Atomic structure:
```
Ba2DyPbO5
1.0
1.821 -7.829 0.000
1.821 7.829 0.000
0.000 0.000 11.502
Ba Dy Pb O
4 2 2 10
Direct
0.124 0.876 0.500
0.135 0.865 0.064
0.865 0.135 0.564
0.876 0.124 0.000
0.224 0.776 0.789
0.776 0.224 0.289
0.489 0.511 0.263
0.511 0.489 0.763
0.075 0.925 0.829
0.280 0.720 0.420
0.293 0.707 0.162
0.367 0.633 0.793
0.500 0.500 0.073
0.500 0.500 0.573
0.633 0.367 0.293
0.707 0.293 0.662
0.720 0.280 0.920
0.925 0.075 0.329
```

Largest 8 diffraction maxima, most intense first, 2θ = 10–80°:
2θ = 27.6°, rel. 100
2θ = 29.6°, rel. 67
2θ = 29.9°, rel. 62
2θ = 50.4°, rel. 40
2θ = 34.4°, rel. 38
2θ = 31.1°, rel. 37
2θ = 43.7°, rel. 36
2θ = 50.1°, rel. 32

***

[6]
Structure and theoretical powder XRD pattern of BaPrDyTiO6 (a structure optimized by DFT (PBE); CuKα).
No peak broadening, texture or thermal motion is included.

Atomic structure:
```
BaPrDyTiO6
1.0
0.000 4.164 4.164
4.164 0.000 4.164
4.164 4.164 0.000
Ba Pr Dy Ti O
1 1 1 1 6
Direct
0.000 0.000 0.000
0.500 0.500 0.500
0.750 0.750 0.750
0.250 0.250 0.250
0.014 0.014 0.486
0.014 0.486 0.014
0.014 0.486 0.486
0.486 0.014 0.014
0.486 0.014 0.486
0.486 0.486 0.014
```

Largest 8 diffraction maxima, most intense first, 2θ = 10–80°:
2θ = 30.4°, rel. 100
2θ = 53.9°, rel. 40
2θ = 43.5°, rel. 30
2θ = 63.2°, rel. 19
2θ = 71.7°, rel. 18
2θ = 18.5°, rel. 11
2θ = 35.8°, rel. 9
2θ = 79.8°, rel. 6

***

[7]
Structure and theoretical powder XRD pattern of Ba8Dy3Pt4O18 (a structure optimized by DFT (PBE); CuKα).
No peak broadening, texture or thermal motion is included.

Atomic structure:
```
Ba8Dy3Pt4O18
1.0
8.482 0.000 0.000
0.000 8.482 0.000
0.000 0.000 8.482
Ba Dy Pt O
8 3 4 18
Direct
0.237 0.237 0.237
0.237 0.237 0.763
0.237 0.763 0.237
0.237 0.763 0.763
0.763 0.237 0.237
0.763 0.237 0.763
0.763 0.763 0.237
0.763 0.763 0.763
0.000 0.000 0.500
0.000 0.500 0.000
0.500 0.000 0.000
0.000 0.000 0.000
0.000 0.500 0.500
0.500 0.000 0.500
0.500 0.500 0.000
0.000 0.000 0.239
0.000 0.000 0.761
0.000 0.239 0.000
0.000 0.262 0.500
0.000 0.500 0.262
0.000 0.500 0.738
0.000 0.738 0.500
0.000 0.761 0.000
0.239 0.000 0.000
0.262 0.000 0.500
0.262 0.500 0.000
0.500 0.000 0.262
0.500 0.000 0.738
0.500 0.262 0.000
0.500 0.738 0.000
0.738 0.000 0.500
0.738 0.500 0.000
0.761 0.000 0.000
```

Largest 8 diffraction maxima, most intense first, 2θ = 10–80°:
2θ = 29.8°, rel. 100
2θ = 52.9°, rel. 39
2θ = 42.6°, rel. 25
2θ = 70.2°, rel. 16
2θ = 61.9°, rel. 16
2θ = 10.4°, rel. 12
2θ = 78.1°, rel. 5
2θ = 18.1°, rel. 4

***

[8]
Structure and theoretical powder XRD pattern of BaDy2RhO5 (a structure optimized by DFT (PBE); CuKα).
No peak broadening, texture or thermal motion is included.

Atomic structure:
```
BaDy2RhO5
1.0
-1.956 2.896 5.858
1.956 -2.896 5.858
1.956 2.896 -5.858
Ba Dy Rh O
1 2 1 5
Direct
0.000 0.000 0.000
0.296 0.796 0.500
0.704 0.204 0.500
0.500 0.500 0.000
0.104 0.344 0.760
0.416 0.656 0.760
0.500 0.000 0.500
0.584 0.344 0.240
0.896 0.656 0.240
```

Largest 8 diffraction maxima, most intense first, 2θ = 10–80°:
2θ = 31.5°, rel. 100
2θ = 30.9°, rel. 29
2θ = 27.5°, rel. 22
2θ = 55.3°, rel. 21
2θ = 46.4°, rel. 19
2θ = 44.0°, rel. 15
2θ = 56.8°, rel. 13
2θ = 30.5°, rel. 13

***

[9]
Structure and theoretical powder XRD pattern of Ba3DySb2O9 (a structure optimized by DFT (PBE); CuKα).
No peak broadening, texture or thermal motion is included.

Atomic structure:
```
Ba3DySb2O9
1.0
6.046 0.000 0.000
-3.023 5.236 0.000
0.000 0.000 7.392
Ba Dy Sb O
3 1 2 9
Direct
0.000 0.000 0.000
0.333 0.667 0.673
0.667 0.333 0.327
0.000 0.000 0.500
0.333 0.667 0.168
0.667 0.333 0.832
0.000 0.500 0.000
0.174 0.348 0.324
0.174 0.826 0.324
0.348 0.174 0.676
0.500 0.000 0.000
0.500 0.500 0.000
0.652 0.826 0.324
0.826 0.174 0.676
0.826 0.652 0.676
```

Largest 8 diffraction maxima, most intense first, 2θ = 10–80°:
2θ = 29.6°, rel. 100
2θ = 52.5°, rel. 40
2θ = 42.3°, rel. 30
2θ = 61.4°, rel. 18
2θ = 69.6°, rel. 18
2θ = 77.3°, rel. 5
2θ = 77.5°, rel. 2
2θ = 36.4°, rel. 1